Entry 1:
This entry pairs a crystal structure of Ti4ZnAu with its simulated XRD peak list. Radiation: Cu Kα. Structure: the PBE geometry in Alexandria.
Neutral-atom scattering factors, no anomalous dispersion.

Atomic structure:
```
data_Ti4ZnAu
_chemical_formula_sum 'Ti4 Zn1 Au1'
_symmetry_space_group_name_H-M 'P 6/m m m'
_symmetry_Int_Tables_number 191
_symmetry_space_group_name_Hall '-P 6 2'
_cell_length_a 4.6568
_cell_length_b 4.6568
_cell_length_c 5.2126
_cell_angle_alpha 90.00
_cell_angle_beta 90.00
_cell_angle_gamma 120.00
loop_
_atom_site_label
_atom_site_type_symbol
_atom_site_fract_x
_atom_site_fract_y
_atom_site_fract_z
Ti1 Ti 0.3333 0.6667 0.2476
Zn1 Zn 0.0000 0.0000 0.0000
Au1 Au 0.0000 0.0000 0.5000
```

Peak list (10 most intense, 10 to 90 degrees two-theta, sorted by position)
| hkl | 2θ (°) | I (rel.) |
| --- | --- | --- |
| 0 0 1 | 17.01 | 17 |
| 1 0 0 | 22.04 | 55 |
| 1 0 1 | 27.97 | 34 |
| 1 1 0 | 38.67 | 95 |
| 1 0 2 | 41.24 | 100 |
| 1 1 1 | 42.52 | 11 |
| 2 0 2 | 57.81 | 41 |
| 3 0 0 | 69.98 | 15 |
| 2 1 2 | 71.73 | 40 |
| 1 1 4 | 85.37 | 20 |

---

Entry 2:
This entry pairs a crystal structure of TeS3 with its simulated XRD peak list. Radiation: Cu Kα. Structure: the PBE geometry in Alexandria.
Neutral-atom scattering factors, no anomalous dispersion.

Atomic structure:
```
data_TeS3
_chemical_formula_sum 'Te2 S6'
_symmetry_space_group_name_H-M 'P -1'
_symmetry_Int_Tables_number 2
_cell_length_a 4.916
_cell_length_b 7.089
_cell_length_c 8.009
_cell_angle_alpha 100.89
_cell_angle_beta 92.95
_cell_angle_gamma 93.22
loop_
_symmetry_equiv_pos_as_xyz
'x,y,z'
'-x,-y,-z'
loop_
_atom_site_label
_atom_site_type_symbol
_atom_site_fract_x
_atom_site_fract_y
_atom_site_fract_z
Te1 Te 0.209 0.393 0.307
S1 S 0.165 0.869 0.846
S2 S 0.187 0.842 0.083
S3 S 0.215 0.327 0.574
```

Peak list (10 most intense, 10 to 90 degrees two-theta, sorted by position)
| hkl | 2θ (°) | I (rel.) |
| --- | --- | --- |
| 0 1 0 | 12.75 | 34 |
| 0 1 -1 | 15.32 | 100 |
| 1 0 0 | 18.11 | 17 |
| 1 0 -1 | 20.76 | 20 |
| -1 1 1 | 24.94 | 45 |
| 1 1 1 | 27.19 | 40 |
| 1 -2 0 | 30.54 | 37 |
| 1 2 0 | 32.60 | 29 |
| 0 1 -3 | 34.23 | 27 |
| 2 0 0 | 36.69 | 18 |

---

Entry 3:
This entry pairs a crystal structure of AcTm4Tl4 with its simulated XRD peak list. Radiation: Cu Kα. Structure: the PBE geometry in Alexandria.
Neutral-atom scattering factors, no anomalous dispersion.

Atomic structure:
```
data_AcTm4Tl4
_chemical_formula_sum 'Ac2 Tm8 Tl8'
_symmetry_space_group_name_H-M 'P 42/n m c'
_symmetry_Int_Tables_number 137
_cell_length_a 7.437
_cell_length_b 7.437
_cell_length_c 10.319
_cell_angle_alpha 90.00
_cell_angle_beta 90.00
_cell_angle_gamma 90.00
loop_
_symmetry_equiv_pos_as_xyz
'x,y,z'
'-x,-y,-z'
'-y+1/2,x,z+1/2'
'y+1/2,-x,-z+1/2'
'-x+1/2,-y+1/2,z'
'x+1/2,y+1/2,-z'
'y,-x+1/2,z+1/2'
'-y,x+1/2,-z+1/2'
'x+1/2,-y,-z'
'-x+1/2,y,z'
'-y,-x,-z+1/2'
'y,x,z+1/2'
'-x,y+1/2,-z'
'x,-y+1/2,z'
'y+1/2,x+1/2,-z+1/2'
'-y+1/2,-x+1/2,z+1/2'
loop_
_atom_site_label
_atom_site_type_symbol
_atom_site_fract_x
_atom_site_fract_y
_atom_site_fract_z
Ac1 Ac 0.250 0.750 0.250
Tm1 Tm 0.012 0.250 0.151
Tl1 Tl 0.041 0.250 0.450
```

Peak list (10 most intense, 10 to 90 degrees two-theta, sorted by position)
| hkl | 2θ (°) | I (rel.) |
| --- | --- | --- |
| 2 1 1 | 28.19 | 100 |
| 1 0 3 | 28.59 | 35 |
| 2 2 0 | 34.10 | 47 |
| 2 0 3 | 35.56 | 74 |
| 1 0 4 | 36.88 | 28 |
| 3 0 3 | 45.08 | 27 |
| 4 0 0 | 49.00 | 29 |
| 3 2 4 | 57.18 | 24 |
| 4 2 3 | 61.99 | 23 |
| 2 0 7 | 68.52 | 25 |

---

Entry 4:
This entry pairs a crystal structure of KP4N3O16 with its simulated XRD peak list. Radiation: Cu Kα. Structure: the PBE geometry in Alexandria.
Neutral-atom scattering factors, no anomalous dispersion.

Atomic structure:
```
data_KP4N3O16
_chemical_formula_sum 'K1 P4 N3 O16'
_symmetry_space_group_name_H-M 'P -4'
_symmetry_Int_Tables_number 81
_cell_length_a 8.081
_cell_length_b 8.081
_cell_length_c 7.928
_cell_angle_alpha 90.00
_cell_angle_beta 90.00
_cell_angle_gamma 90.00
loop_
_symmetry_equiv_pos_as_xyz
'x,y,z'
'y,-x,-z'
'-x,-y,z'
'-y,x,-z'
loop_
_atom_site_label
_atom_site_type_symbol
_atom_site_fract_x
_atom_site_fract_y
_atom_site_fract_z
K1 K 0.000 0.000 0.000
P1 P 0.000 0.000 0.500
P2 P 0.000 0.500 0.185
P3 P 0.500 0.500 0.000
N1 N 0.000 0.500 0.685
N2 N 0.500 0.500 0.500
O1 O 0.007 0.660 0.081
O2 O 0.080 0.121 0.626
O3 O 0.156 0.472 0.295
O4 O 0.355 0.436 0.892
```

Peak list (10 most intense, 10 to 90 degrees two-theta, sorted by position)
| hkl | 2θ (°) | I (rel.) |
| --- | --- | --- |
| 0 0 1 | 11.16 | 22 |
| 1 0 1 | 15.66 | 83 |
| 2 0 0 | 22.00 | 100 |
| 1 0 2 | 25.02 | 13 |
| 1 2 1 | 27.12 | 21 |
| 1 1 2 | 27.38 | 54 |
| 2 2 0 | 31.31 | 10 |
| 2 0 2 | 31.62 | 14 |
| 2 1 2 | 33.55 | 16 |
| 1 3 2 | 42.07 | 21 |

---

Entry 5:
This entry pairs a crystal structure of UTl2Br2Cl4 with its simulated XRD peak list. Radiation: Cu Kα. Structure: the PBE geometry in Alexandria.
Neutral-atom scattering factors, no anomalous dispersion.

Atomic structure:
```
data_UTl2Br2Cl4
_chemical_formula_sum 'U2 Tl4 Br4 Cl8'
_symmetry_space_group_name_H-M 'C 1 2/m 1'
_symmetry_Int_Tables_number 12
_cell_length_a 13.369
_cell_length_b 7.386
_cell_length_c 7.638
_cell_angle_alpha 90.00
_cell_angle_beta 113.94
_cell_angle_gamma 90.00
loop_
_symmetry_equiv_pos_as_xyz
'x,y,z'
'-x,-y,-z'
'-x,y,-z'
'x,-y,z'
'x+1/2,y+1/2,z'
'-x+1/2,-y+1/2,-z'
'-x+1/2,y+1/2,-z'
'x+1/2,-y+1/2,z'
loop_
_atom_site_label
_atom_site_type_symbol
_atom_site_fract_x
_atom_site_fract_y
_atom_site_fract_z
U1 U 0.000 0.000 0.000
Tl1 Tl 0.237 0.500 0.214
Br1 Br 0.204 0.000 0.316
Cl1 Cl 0.076 0.247 0.841
```

Peak list (10 most intense, 10 to 90 degrees two-theta, sorted by position)
| hkl | 2θ (°) | I (rel.) |
| --- | --- | --- |
| 0 0 1 | 12.68 | 51 |
| 1 1 0 | 14.01 | 44 |
| 1 1 1 | 20.84 | 58 |
| 3 1 -1 | 23.65 | 100 |
| 0 2 0 | 24.10 | 44 |
| 3 1 -2 | 28.73 | 31 |
| 1 1 2 | 31.78 | 28 |
| 2 2 -2 | 34.04 | 54 |
| 4 2 0 | 38.26 | 53 |
| 5 1 -3 | 43.17 | 33 |

---

Entry 6:
This entry pairs a crystal structure of LiAg5Cl8 with its simulated XRD peak list. Radiation: Cu Kα. Structure: the PBE geometry in Alexandria.
Neutral-atom scattering factors, no anomalous dispersion.

Atomic structure:
```
data_LiAg5Cl8
_chemical_formula_sum 'Li4 Ag20 Cl32'
_symmetry_space_group_name_H-M 'F -4 3 m'
_symmetry_Int_Tables_number 216
_symmetry_space_group_name_Hall 'F -4 2 3'
_cell_length_a 11.057
_cell_length_b 11.057
_cell_length_c 11.057
_cell_angle_alpha 90.00
_cell_angle_beta 90.00
_cell_angle_gamma 90.00
loop_
_atom_site_label
_atom_site_type_symbol
_atom_site_fract_x
_atom_site_fract_y
_atom_site_fract_z
Li1 Li 0.000 0.000 0.000
Ag1 Ag 0.126 0.126 0.374
Ag2 Ag 0.250 0.250 0.750
Cl1 Cl 0.117 0.117 0.617
Cl2 Cl 0.129 0.129 0.129
```

Peak list (10 most intense, 10 to 90 degrees two-theta, sorted by position)
| hkl | 2θ (°) | I (rel.) |
| --- | --- | --- |
| 1 1 1 | 13.87 | 47 |
| 3 1 1 | 26.74 | 100 |
| 4 0 0 | 32.39 | 59 |
| 5 1 1 | 42.48 | 43 |
| 4 4 0 | 46.46 | 76 |
| 5 3 3 | 54.41 | 13 |
| 4 4 4 | 57.77 | 13 |
| 5 5 3 | 64.76 | 21 |
| 8 4 0 | 77.16 | 15 |
| 8 4 4 | 86.18 | 23 |

---

Entry 7:
This entry pairs a crystal structure of Ce2PtRh4 with its simulated XRD peak list. Radiation: Cu Kα. Structure: the PBE geometry in Alexandria.
Neutral-atom scattering factors, no anomalous dispersion.

Atomic structure:
```
data_Ce2PtRh4
_chemical_formula_sum 'Ce8 Pt4 Rh16'
_symmetry_space_group_name_H-M 'C m c e'
_symmetry_Int_Tables_number 64
_symmetry_space_group_name_Hall '-C 2ac 2'
_cell_length_a 9.708
_cell_length_b 5.448
_cell_length_c 9.551
_cell_angle_alpha 90.00
_cell_angle_beta 90.00
_cell_angle_gamma 90.00
loop_
_atom_site_label
_atom_site_type_symbol
_atom_site_fract_x
_atom_site_fract_y
_atom_site_fract_z
Ce1 Ce 0.152 0.000 0.000
Pt1 Pt 0.000 0.000 0.500
Rh1 Rh 0.000 0.249 0.250
Rh2 Rh 0.250 0.001 0.750
```

Peak list (10 most intense, 10 to 90 degrees two-theta, sorted by position)
| hkl | 2θ (°) | I (rel.) |
| --- | --- | --- |
| 0 2 0 | 32.88 | 28 |
| 3 1 1 | 33.55 | 100 |
| 0 0 4 | 37.67 | 69 |
| 0 2 2 | 38.03 | 37 |
| 4 0 2 | 41.75 | 26 |
| 2 2 2 | 42.50 | 66 |
| 3 1 3 | 43.18 | 50 |
| 0 2 4 | 50.85 | 21 |
| 3 1 5 | 58.62 | 20 |
| 6 2 2 | 70.51 | 39 |

---

Entry 8:
This entry pairs a crystal structure of Pr2DyTmSb4 with its simulated XRD peak list. Radiation: Cu Kα. Structure: the PBE geometry in Alexandria.
Neutral-atom scattering factors, no anomalous dispersion.

Atomic structure:
```
data_Pr2DyTmSb4
_chemical_formula_sum 'Pr2 Dy1 Tm1 Sb4'
_symmetry_space_group_name_H-M 'P 1 2/m 1'
_symmetry_Int_Tables_number 10
_cell_length_a 7.716
_cell_length_b 4.466
_cell_length_c 7.730
_cell_angle_alpha 90.00
_cell_angle_beta 109.51
_cell_angle_gamma 90.00
loop_
_symmetry_equiv_pos_as_xyz
'x,y,z'
'-x,-y,-z'
'-x,y,-z'
'x,-y,z'
loop_
_atom_site_label
_atom_site_type_symbol
_atom_site_fract_x
_atom_site_fract_y
_atom_site_fract_z
Pr1 Pr 0.000 0.000 0.000
Pr2 Pr 0.000 0.500 0.500
Dy1 Dy 0.500 0.000 0.500
Tm1 Tm 0.500 0.500 0.000
Sb1 Sb 0.262 0.500 0.253
Sb2 Sb 0.263 0.000 0.756
```

Peak list (10 most intense, 10 to 90 degrees two-theta, sorted by position)
| hkl | 2θ (°) | I (rel.) |
| --- | --- | --- |
| 1 1 1 | 28.29 | 100 |
| 0 2 0 | 40.44 | 76 |
| 0 0 4 | 50.06 | 21 |
| 4 0 0 | 50.18 | 7 |
| 2 2 2 | 58.53 | 13 |
| 1 3 1 | 66.21 | 18 |
| 4 2 0 | 66.30 | 17 |
| 2 0 -6 | 73.51 | 19 |
| 5 1 1 | 73.67 | 6 |
| 0 4 0 | 87.38 | 4 |

---

Entry 9:
This entry pairs a crystal structure of Tm3Tl2Cd3 with its simulated XRD peak list. Radiation: Cu Kα. Structure: the PBE geometry in Alexandria.
Neutral-atom scattering factors, no anomalous dispersion.

Atomic structure:
```
data_Tm3Tl2Cd3
_chemical_formula_sum 'Tm3 Tl2 Cd3'
_symmetry_space_group_name_H-M 'P -6 2 m'
_symmetry_Int_Tables_number 189
_symmetry_space_group_name_Hall 'P -6 -2'
_cell_length_a 7.5898
_cell_length_b 7.5898
_cell_length_c 4.1611
_cell_angle_alpha 90.00
_cell_angle_beta 90.00
_cell_angle_gamma 120.00
loop_
_atom_site_label
_atom_site_type_symbol
_atom_site_fract_x
_atom_site_fract_y
_atom_site_fract_z
Tm1 Tm 0.0000 0.3978 0.0000
Tl1 Tl 0.3333 0.6667 0.5000
Cd1 Cd 0.0000 0.7734 0.5000
```

Peak list (10 most intense, 10 to 90 degrees two-theta, sorted by position)
| hkl | 2θ (°) | I (rel.) |
| --- | --- | --- |
| 1 0 0 | 13.47 | 14 |
| 1 1 1 | 31.92 | 100 |
| 2 0 1 | 34.78 | 42 |
| 2 1 0 | 36.16 | 42 |
| 3 0 0 | 41.20 | 20 |
| 2 1 1 | 42.37 | 15 |
| 0 0 2 | 43.50 | 18 |
| 2 1 2 | 57.80 | 21 |
| 3 2 1 | 65.88 | 14 |
| 4 1 1 | 69.29 | 17 |

---

Entry 10:
This entry pairs a crystal structure of Tb2Mn16Fe with its simulated XRD peak list. Radiation: Cu Kα. Structure: the PBE geometry in Alexandria.
Neutral-atom scattering factors, no anomalous dispersion.

Atomic structure:
```
data_Tb2Mn16Fe
_chemical_formula_sum 'Tb6 Mn48 Fe3'
_symmetry_space_group_name_H-M 'R 3 m'
_symmetry_Int_Tables_number 160
_symmetry_space_group_name_Hall 'R 3 -2"'
_cell_length_a 8.6447
_cell_length_b 8.6447
_cell_length_c 11.6230
_cell_angle_alpha 90.00
_cell_angle_beta 90.00
_cell_angle_gamma 120.00
loop_
_atom_site_label
_atom_site_type_symbol
_atom_site_fract_x
_atom_site_fract_y
_atom_site_fract_z
Tb1 Tb 0.0000 0.0000 0.0000
Tb2 Tb 0.0000 0.0000 0.2903
Mn1 Mn 0.0000 0.0000 0.5452
Mn2 Mn 0.0002 0.2750 0.6466
Mn3 Mn 0.0138 0.5069 0.5079
Mn4 Mn 0.1678 0.3356 0.4795
Mn5 Mn 0.1740 0.3480 0.1170
Fe1 Fe 0.0000 0.0000 0.7461
```

Peak list (10 most intense, 10 to 90 degrees two-theta, sorted by position)
| hkl | 2θ (°) | I (rel.) |
| --- | --- | --- |
| 1 1 3 | 31.00 | 44 |
| 2 1 1 | 32.57 | 28 |
| 3 0 0 | 35.99 | 49 |
| 0 2 4 | 39.25 | 65 |
| 2 2 0 | 41.80 | 92 |
| 3 0 3 | 43.12 | 100 |
| 2 1 4 | 44.70 | 34 |
| 2 0 5 | 45.96 | 22 |
| 0 0 6 | 46.90 | 21 |
| 1 4 3 | 61.61 | 28 |